Computed powder diffractogram
Compound: ErSi
Radiation: Cu Ka
Structure: the GGA-PBE geometry in the Materials Project
Kinematic intensities with the Lorentz-polarization factor, no thermal factor.

Structure:
```
data_ErSi
_chemical_formula_sum 'Er4 Si4'
_space_group_name_H-M_alt 'P n m a'
_space_group_IT_number 62
_space_group_name_Hall '-P 2ac 2n'
_cell_length_a 7.811
_cell_length_b 3.817
_cell_length_c 5.651
_cell_angle_alpha 90.00
_cell_angle_beta 90.00
_cell_angle_gamma 90.00
loop_
_atom_site_label
_atom_site_fract_x
_atom_site_fract_y
_atom_site_fract_z
Er1 0.179 0.250 0.114
Si1 0.038 0.250 0.630
```

Most intense lines, 5 to 70 degrees two-theta, by angle:
two_theta, I (rel.)
27.77, 30
28.21, 40
30.49, 100
32.81, 71
33.73, 79
36.56, 40
38.06, 44
41.41, 36
53.55, 34
59.65, 45

---

Computed powder diffractogram
Compound: CaAsH5O6
Radiation: Cu Ka
Structure: the GGA-PBE geometry in the Materials Project
Kinematic intensities with the Lorentz-polarization factor, no thermal factor.

Structure:
```
data_CaAsH5O6
_chemical_formula_sum 'Ca4 As4 H20 O24'
_space_group_name_H-M_alt 'C 1 c 1'
_space_group_IT_number 9
_space_group_name_Hall 'C -2yc'
_cell_length_a 6.708
_cell_length_b 15.437
_cell_length_c 6.068
_cell_angle_alpha 90.00
_cell_angle_beta 121.00
_cell_angle_gamma 90.00
loop_
_atom_site_label
_atom_site_fract_x
_atom_site_fract_y
_atom_site_fract_z
Ca1 0.000 0.172 0.000
As1 0.021 0.324 0.516
H1 0.211 0.167 0.599
H2 0.233 0.010 0.730
H3 0.253 0.490 0.151
H4 0.265 0.414 0.980
H5 0.397 0.067 0.388
O1 0.133 0.249 0.399
O2 0.235 0.399 0.675
O3 0.241 0.054 0.243
O4 0.255 0.425 0.137
O5 0.273 0.125 0.750
O6 0.406 0.222 0.181
```

Most intense lines, 5 to 70 degrees two-theta, by angle:
two_theta, I (rel.)
11.46, 100
17.05, 28
20.59, 97
28.81, 72
29.05, 65
32.41, 35
33.25, 46
35.48, 24
47.42, 22
58.34, 18

---

Computed powder diffractogram
Compound: K3Cd
Radiation: Cu Ka
Structure: the GGA-PBE geometry in the Materials Project
Kinematic intensities with the Lorentz-polarization factor, no thermal factor.

Structure:
```
data_K3Cd
_chemical_formula_sum 'K6 Cd2'
_space_group_name_H-M_alt 'I 4/m m m'
_space_group_IT_number 139
_space_group_name_Hall '-I 4 2'
_cell_length_a 6.708
_cell_length_b 6.708
_cell_length_c 9.857
_cell_angle_alpha 90.00
_cell_angle_beta 90.00
_cell_angle_gamma 90.00
loop_
_atom_site_label
_atom_site_fract_x
_atom_site_fract_y
_atom_site_fract_z
K1 0.000 0.000 0.000
K2 0.000 0.500 0.250
Cd1 0.000 0.000 0.500
```

Most intense lines, 5 to 70 degrees two-theta, by angle:
two_theta, I (rel.)
15.98, 28
18.71, 10
26.07, 100
26.58, 48
31.17, 12
36.46, 10
37.94, 18
45.69, 20
46.62, 37
53.64, 12

---

Computed powder diffractogram
Compound: Bi2Se3
Radiation: Cu Ka
Structure: the GGA-PBE geometry in the Materials Project
Kinematic intensities with the Lorentz-polarization factor, no thermal factor.

Structure:
```
data_Bi2Se3
_chemical_formula_sum 'Bi4 Se6'
_space_group_name_H-M_alt 'C 1 2/m 1'
_space_group_IT_number 12
_space_group_name_Hall '-C 2y'
_cell_length_a 11.727
_cell_length_b 6.182
_cell_length_c 6.826
_cell_angle_alpha 90.00
_cell_angle_beta 118.96
_cell_angle_gamma 90.00
loop_
_atom_site_label
_atom_site_fract_x
_atom_site_fract_y
_atom_site_fract_z
Bi1 0.242 0.000 0.439
Se1 0.000 0.500 0.500
Se2 0.099 0.000 0.670
```

Most intense lines, 5 to 70 degrees two-theta, by angle:
two_theta, I (rel.)
14.83, 100
17.28, 18
28.88, 31
30.51, 31
32.62, 31
33.25, 17
38.96, 13
42.55, 18
44.44, 15
44.62, 16

---

Computed powder diffractogram
Compound: YPS
Radiation: Cu Ka
Structure: the GGA-PBE geometry in the Materials Project
Kinematic intensities with the Lorentz-polarization factor, no thermal factor.

Structure:
```
data_YPS
_chemical_formula_sum 'Y8 P8 S8'
_space_group_name_H-M_alt 'P n m a'
_space_group_IT_number 62
_space_group_name_Hall '-P 2ac 2n'
_cell_length_a 5.394
_cell_length_b 5.324
_cell_length_c 16.791
_cell_angle_alpha 90.00
_cell_angle_beta 90.00
_cell_angle_gamma 90.00
loop_
_atom_site_label
_atom_site_fract_x
_atom_site_fract_y
_atom_site_fract_z
Y1 0.015 0.250 0.146
Y2 0.016 0.750 0.362
P1 0.205 0.536 0.997
S1 0.012 0.250 0.316
S2 0.015 0.750 0.189
```

Most intense lines, 5 to 70 degrees two-theta, by angle:
two_theta, I (rel.)
21.17, 24
25.80, 92
31.98, 37
33.22, 26
33.67, 28
34.94, 23
35.37, 23
39.72, 40
40.08, 100
48.02, 40

---

Computed powder diffractogram
Compound: BiSb
Radiation: Cu Ka
Structure: the GGA-PBE geometry in the Materials Project
Kinematic intensities with the Lorentz-polarization factor, no thermal factor.

Structure:
```
data_BiSb
_chemical_formula_sum 'Bi3 Sb3'
_space_group_name_H-M_alt 'R 3 m'
_space_group_IT_number 160
_space_group_name_Hall 'R 3 -2"'
_cell_length_a 4.4993
_cell_length_b 4.4993
_cell_length_c 11.8356
_cell_angle_alpha 90.00
_cell_angle_beta 90.00
_cell_angle_gamma 120.00
loop_
_atom_site_label
_atom_site_fract_x
_atom_site_fract_y
_atom_site_fract_z
Bi1 0.0000 0.0000 0.0000
Sb1 0.0000 0.0000 0.4646
```

Most intense lines, 5 to 70 degrees two-theta, by angle:
two_theta, I (rel.)
22.54, 9
24.04, 11
27.41, 100
38.19, 36
40.08, 39
44.80, 9
49.24, 20
56.56, 12
62.63, 14
65.29, 18